# 1
Nd4CuTe5Cl3O15: theoretical powder XRD pattern (λ = 1.5418 Å (Cu Kα)), based on a crystal structure in Alexandria, relaxed with GGA-PBE.

Lattice parameters (Å, degrees): 12.037 12.037 17.908 124.00 124.00 27.53
Positions (direct):
Nd (0.000, 0.000, 0.000)
Nd (0.155, 0.263, 0.130)
Nd (0.366, 0.469, 0.301)
Nd (0.367, 0.452, 0.072)
Nd (0.531, 0.634, 0.699)
Nd (0.548, 0.633, 0.928)
Nd (0.737, 0.845, 0.870)
Nd (0.960, 0.040, 0.500)
Cu (0.028, 0.561, 0.587)
Cu (0.439, 0.972, 0.413)
Te (0.102, 0.282, 0.684)
Te (0.256, 0.154, 0.913)
Te (0.350, 0.431, 0.851)
Te (0.426, 0.388, 0.525)
Te (0.569, 0.650, 0.149)
Te (0.612, 0.574, 0.475)
Te (0.718, 0.898, 0.316)
Te (0.846, 0.744, 0.087)
Te (0.911, 0.085, 0.769)
Te (0.915, 0.089, 0.231)
Cl (0.137, 0.252, 0.496)
Cl (0.227, 0.153, 0.279)
Cl (0.333, 0.467, 0.676)
Cl (0.533, 0.667, 0.324)
Cl (0.748, 0.863, 0.504)
Cl (0.847, 0.773, 0.721)
O (0.114, 0.767, 0.196)
O (0.120, 0.647, 0.926)
O (0.159, 0.477, 0.151)
O (0.206, 0.017, 0.650)
O (0.233, 0.886, 0.804)
O (0.245, 0.702, 0.566)
O (0.298, 0.755, 0.434)
O (0.328, 0.640, 0.905)
O (0.345, 0.179, 0.790)
O (0.349, 0.024, 0.998)
O (0.353, 0.880, 0.074)
O (0.360, 0.672, 0.095)
O (0.461, 0.141, 0.981)
O (0.490, 0.132, 0.241)
O (0.523, 0.841, 0.849)
O (0.549, 0.275, 0.426)
O (0.616, 0.195, 0.933)
O (0.616, 0.248, 0.201)
O (0.713, 0.248, 0.606)
O (0.725, 0.451, 0.574)
O (0.752, 0.287, 0.394)
O (0.752, 0.384, 0.799)
O (0.805, 0.384, 0.067)
O (0.821, 0.655, 0.210)
O (0.833, 0.139, 0.116)
O (0.859, 0.539, 0.019)
O (0.861, 0.167, 0.884)
O (0.868, 0.510, 0.759)
O (0.976, 0.651, 0.002)
O (0.983, 0.794, 0.350)

Main lines, in order of falling intensity (2θ = 10–90°):
2theta  I (rel.)
28.06  100.0
25.25  52.3
30.76  30.6
29.99  27.6
44.41  22.7
31.23  21.8
29.63  20.0
53.64  16.5
47.56  15.0
26.96  12.9

=====

# 2
Tl2CuNiCl6: theoretical powder XRD pattern (λ = 1.5418 Å (Cu Kα)), based on a crystal structure in Alexandria, relaxed with GGA-PBE.

Lattice parameters (Å, degrees): 7.016 7.010 6.755 61.26 61.16 57.58
Positions (direct):
Tl (0.250, 0.250, 0.250)
Tl (0.750, 0.750, 0.750)
Cu (0.000, 0.000, 0.000)
Ni (0.500, 0.500, 0.500)
Cl (0.244, 0.756, 0.244)
Cl (0.245, 0.755, 0.755)
Cl (0.279, 0.279, 0.721)
Cl (0.721, 0.721, 0.279)
Cl (0.755, 0.245, 0.245)
Cl (0.756, 0.244, 0.756)

Main lines, in order of falling intensity (2θ = 10–90°):
2theta  I (rel.)
25.47  100.0
31.71  60.4
37.67  46.5
26.39  44.9
46.02  42.4
52.32  33.2
34.95  27.4
44.32  21.5
18.58  16.0
66.24  15.9

=====

# 3
NpTlCu2Cl8: theoretical powder XRD pattern (λ = 1.5418 Å (Cu Kα)), based on a crystal structure in Alexandria, relaxed with GGA-PBE.

Lattice parameters (Å, degrees): 7.102 7.102 8.818 90.00 90.00 120.00
Positions (direct):
Np (0.000, 0.000, 0.000)
Tl (0.000, 0.000, 0.500)
Cu (0.333, 0.667, 0.694)
Cu (0.667, 0.333, 0.306)
Cl (0.166, 0.333, 0.823)
Cl (0.166, 0.834, 0.823)
Cl (0.333, 0.166, 0.177)
Cl (0.333, 0.667, 0.451)
Cl (0.667, 0.333, 0.549)
Cl (0.667, 0.834, 0.823)
Cl (0.834, 0.166, 0.177)
Cl (0.834, 0.667, 0.177)

Main lines, in order of falling intensity (2θ = 10–90°):
2theta  I (rel.)
14.40  100.0
24.85  81.8
25.08  70.7
35.59  54.2
32.37  41.5
44.04  37.7
17.58  36.4
51.47  21.5
50.97  19.5
38.73  18.4

=====

# 4
Sr2Cu2RuPb2ClO8: theoretical powder XRD pattern (λ = 1.5418 Å (Cu Kα)), based on a crystal structure in Alexandria, relaxed with GGA-PBE.

Lattice parameters (Å, degrees): 15.498 3.923 3.923 90.01 90.00 90.00
Positions (direct):
Sr (0.140, 0.000, 0.000)
Sr (0.860, 0.000, 0.000)
Cu (0.266, 0.500, 0.500)
Cu (0.734, 0.500, 0.500)
Ru (0.000, 0.500, 0.500)
Pb (0.375, 0.000, 0.000)
Pb (0.625, 0.000, 0.000)
Cl (0.500, 0.499, 0.499)
O (0.000, 0.001, 0.501)
O (0.000, 0.501, 0.001)
O (0.126, 0.502, 0.502)
O (0.279, 0.000, 0.500)
O (0.279, 0.500, 0.000)
O (0.721, 0.000, 0.500)
O (0.721, 0.500, 0.000)
O (0.874, 0.502, 0.502)

Main lines, in order of falling intensity (2θ = 10–90°):
2theta  I (rel.)
32.48  100.0
32.27  49.6
57.68  38.9
46.29  27.7
23.39  22.2
58.08  16.9
39.97  15.7
17.16  14.7
22.67  13.0
68.02  12.3

=====

# 5
CuPb5Se4Cl4O12: theoretical powder XRD pattern (λ = 1.5418 Å (Cu Kα)), based on a crystal structure in Alexandria, relaxed with GGA-PBE.

Lattice parameters (Å, degrees): 12.951 12.951 14.484 100.60 100.60 24.61
Positions (direct):
Cu (0.000, 0.000, 0.000)
Cu (0.000, 0.000, 0.500)
Pb (0.073, 0.927, 0.750)
Pb (0.203, 0.259, 0.131)
Pb (0.259, 0.203, 0.631)
Pb (0.312, 0.468, 0.323)
Pb (0.468, 0.312, 0.823)
Pb (0.532, 0.688, 0.177)
Pb (0.688, 0.532, 0.677)
Pb (0.741, 0.797, 0.369)
Pb (0.797, 0.741, 0.869)
Pb (0.927, 0.073, 0.250)
Se (0.146, 0.181, 0.322)
Se (0.181, 0.146, 0.822)
Se (0.440, 0.472, 0.083)
Se (0.472, 0.440, 0.583)
Se (0.528, 0.560, 0.417)
Se (0.560, 0.528, 0.917)
Se (0.819, 0.854, 0.178)
Se (0.854, 0.819, 0.678)
Cl (0.085, 0.144, 0.540)
Cl (0.144, 0.085, 0.040)
Cl (0.287, 0.291, 0.955)
Cl (0.291, 0.287, 0.455)
Cl (0.709, 0.713, 0.545)
Cl (0.713, 0.709, 0.045)
Cl (0.856, 0.915, 0.960)
Cl (0.915, 0.856, 0.460)
O (0.029, 0.583, 0.229)
O (0.054, 0.145, 0.763)
O (0.070, 0.560, 0.741)
O (0.145, 0.054, 0.263)
O (0.231, 0.768, 0.108)
O (0.232, 0.769, 0.392)
O (0.283, 0.704, 0.913)
O (0.296, 0.717, 0.587)
O (0.396, 0.482, 0.689)
O (0.417, 0.971, 0.271)
O (0.440, 0.930, 0.759)
O (0.482, 0.396, 0.189)
O (0.518, 0.604, 0.811)
O (0.560, 0.070, 0.241)
O (0.583, 0.029, 0.729)
O (0.604, 0.518, 0.311)
O (0.704, 0.283, 0.413)
O (0.717, 0.296, 0.087)
O (0.768, 0.231, 0.608)
O (0.769, 0.232, 0.892)
O (0.855, 0.946, 0.737)
O (0.930, 0.440, 0.259)
O (0.946, 0.855, 0.237)
O (0.971, 0.417, 0.771)

Main lines, in order of falling intensity (2θ = 10–90°):
2theta  I (rel.)
28.75  100.0
30.13  54.4
24.09  52.1
21.91  41.9
32.43  40.8
12.44  35.9
29.12  33.2
29.53  28.4
50.52  19.7
44.15  19.5